Record 1
Starting from a crystal structure in Alexandria, relaxed with GGA-PBE, the PXRD pattern of Ca8Mg2Al was computed for copper Kα.
No peak broadening, texture or thermal motion is included.

Structural model:
```
11
Lattice="-2.7246 8.8620 4.0234 2.7246 -8.8620 4.0234 2.7246 8.8620 -4.0234" Properties=species:S:1:pos:R:3 pbc="T T T"
Ca 0.0000 0.0000 0.0000
Ca 2.7246 2.6885 -0.4105
Ca 2.7246 -3.7299 3.4400
Ca 2.7246 0.0000 2.6931
Ca 2.7246 7.0144 1.0331
Ca 2.7246 3.7299 3.4400
Ca 0.0000 1.8476 5.0565
Ca 0.0000 6.1736 3.6129
Mg 2.7246 6.0813 -2.2430
Mg 0.0000 2.7808 1.7804
Al 0.0000 8.8620 1.8815
```

The 12 most intense peaks (2θ from 15° to 90°), by angle:
2theta, I_rel
27.5, 14
28.0, 48
28.2, 93
30.1, 39
31.5, 100
32.9, 55
33.8, 16
36.4, 13
37.2, 15
54.5, 14
55.7, 18
57.9, 19

---

Record 2
Starting from a crystal structure in Alexandria, relaxed with GGA-PBE, the PXRD pattern of CaMg4Al was computed for copper Kα.
No peak broadening, texture or thermal motion is included.

Structural model:
```
6
Lattice="0.0000 4.2147 4.2147 4.2147 0.0000 4.2147 4.2147 4.2147 0.0000" Properties=species:S:1:pos:R:3 pbc="T T T"
Ca 0.0000 0.0000 0.0000
Mg 5.2656 3.1637 3.1637
Mg 3.1637 5.2656 3.1637
Mg 3.1637 3.1637 5.2656
Mg 5.2656 5.2656 5.2656
Al 2.1073 2.1073 2.1073
```

The 12 most intense peaks (2θ from 15° to 90°), by angle:
2theta, I_rel
21.1, 2
30.0, 37
35.3, 100
36.9, 31
53.2, 13
56.7, 31
62.3, 25
70.7, 5
73.7, 10
74.7, 11
86.4, 6
89.3, 18

---

Record 3
Starting from a crystal structure in Alexandria, relaxed with GGA-PBE, the PXRD pattern of Ca4MgAl3 was computed for copper Kα.
No peak broadening, texture or thermal motion is included.

Structural model:
```
32
Lattice="6.1715 0.0000 0.0000 0.0000 24.2250 0.0000 0.0000 0.0000 5.8538" Properties=species:S:1:pos:R:3 pbc="T T T"
Ca 0.0254 1.1078 1.4635
Ca 0.0254 11.0047 4.3904
Ca 1.1585 17.2019 4.3904
Ca 1.1585 19.1356 1.4635
Ca 1.5789 2.9944 4.3904
Ca 1.5789 9.1180 1.4635
Ca 2.5961 15.5527 1.4635
Ca 2.5961 20.7848 4.3904
Ca 3.5754 3.4402 1.4635
Ca 3.5754 8.6723 4.3904
Ca 4.5926 15.1069 4.3904
Ca 4.5926 21.2305 1.4635
Ca 5.0130 5.0894 4.3904
Ca 5.0130 7.0231 1.4635
Ca 6.1460 13.2203 1.4635
Ca 6.1460 23.1172 4.3904
Mg 3.0857 0.0000 0.0000
Mg 3.0857 0.0000 2.9269
Mg 3.0857 12.1125 0.0000
Mg 3.0857 12.1125 2.9269
Al 0.5257 4.2785 1.4635
Al 0.5257 7.8339 4.3904
Al 1.4929 13.9553 4.3904
Al 1.4929 22.3822 1.4635
Al 2.0298 6.0562 0.0000
Al 2.0298 6.0562 2.9269
Al 4.1417 18.1687 0.0000
Al 4.1417 18.1687 2.9269
Al 4.6785 1.8428 4.3904
Al 4.6785 10.2697 1.4635
Al 5.6458 16.3910 1.4635
Al 5.6458 19.9464 4.3904
```

The 12 most intense peaks (2θ from 15° to 90°), by angle:
2theta, I_rel
25.6, 18
27.9, 31
30.5, 65
33.0, 45
33.4, 100
33.7, 80
34.0, 36
34.7, 27
37.1, 30
55.1, 22
56.1, 20
56.3, 23

---

Record 4
Starting from a crystal structure in Alexandria, relaxed with GGA-PBE, the PXRD pattern of Ca6MgAl was computed for copper Kα.
No peak broadening, texture or thermal motion is included.

Structural model:
```
8
Lattice="-2.7224 2.7224 9.4258 2.7224 -2.7224 9.4258 2.7224 2.7224 -9.4258" Properties=species:S:1:pos:R:3 pbc="T T T"
Ca 2.7224 0.0000 1.8811
Ca 0.0000 0.0000 4.7047
Ca 2.7224 0.0000 7.5447
Ca 0.0000 2.7224 1.8811
Ca 0.0000 0.0000 14.1469
Ca 0.0000 2.7224 7.5447
Mg 0.0000 0.0000 0.0000
Al 0.0000 0.0000 9.4258
```

The 12 most intense peaks (2θ from 15° to 90°), by angle:
2theta, I_rel
25.0, 16
28.4, 11
30.0, 100
32.9, 48
36.9, 8
44.0, 12
47.2, 16
51.3, 9
54.2, 11
56.9, 28
69.0, 8
78.6, 9